# K2MoS2O2
Computed powder XRD pattern, Cu Kα (λ = 1.5418 Å). Input: a cell relaxed with GGA+U.
No peak broadening, texture or thermal motion is included.

The 10 most intense peaks (10° ≤ 2θ ≤ 90°), low angle first:
| hkl | 2θ (°) | d/Å | I/Imax |
| --- | --- | --- | --- |
| 1 1 0 | 15.35 | 5.772 | 81 |
| 2 0 0 | 18.24 | 4.864 | 24 |
| 0 0 2 | 20.98 | 4.235 | 31 |
| 1 1 1 | 21.22 | 4.188 | 27 |
| 3 1 -1 | 26.64 | 3.347 | 45 |
| 3 1 -2 | 27.02 | 3.300 | 100 |
| 1 1 2 | 29.89 | 2.989 | 41 |
| 0 2 2 | 32.73 | 2.736 | 38 |
| 2 0 -4 | 36.00 | 2.495 | 26 |
| 3 3 -3 | 47.96 | 1.897 | 23 |

Structural model:
abc: 11.545 7.171 10.052
angles: 90.00 122.58 90.00
Space group C2/c (No. 15)
One atom of each set of equivalent atoms:
1 K 0.214 0.054 0.334 x8
2 Mo 0.000 0.425 0.750 x4
3 S 0.016 0.241 0.939 x8
4 O 0.151 0.434 0.332 x8

***

# YW2O9
Computed powder XRD pattern, Cu Kα (λ = 1.5418 Å). Input: a cell relaxed with GGA+U.
No peak broadening, texture or thermal motion is included.

The 10 most intense peaks (10° ≤ 2θ ≤ 90°), low angle first:
| hkl | 2θ (°) | d/Å | I/Imax |
| --- | --- | --- | --- |
| 0 0 1 | 13.10 | 6.759 | 35 |
| 1 0 -1 | 17.92 | 4.951 | 76 |
| 1 1 0 | 18.54 | 4.787 | 100 |
| 0 0 2 | 26.37 | 3.379 | 39 |
| 1 2 -1 | 27.28 | 3.269 | 83 |
| 1 2 1 | 30.53 | 2.928 | 34 |
| 2 0 0 | 31.22 | 2.865 | 30 |
| 0 3 1 | 33.62 | 2.666 | 64 |
| 1 3 0 | 34.64 | 2.589 | 26 |
| 2 3 -1 | 44.31 | 2.044 | 42 |

Structural model:
abc: 5.879 8.708 6.934
angles: 90.00 102.92 90.00
Space group P2_1/m (No. 11)
One atom of each set of equivalent atoms:
1 Y 0.224 0.250 0.277 x2
2 W 0.301 0.064 0.816 x4
3 O 0.068 0.573 0.812 x4
4 O 0.128 0.250 0.872 x2
5 O 0.278 0.088 0.550 x4
6 O 0.368 0.750 0.550 x2
7 O 0.429 0.074 0.126 x4
8 O 0.462 0.750 0.184 x2

***

# Li2NiO2F
Computed powder XRD pattern, Cu Kα (λ = 1.5418 Å). Input: a cell relaxed with GGA+U.
No peak broadening, texture or thermal motion is included.

The 10 most intense peaks (10° ≤ 2θ ≤ 90°), low angle first:
| hkl | 2θ (°) | d/Å | I/Imax |
| --- | --- | --- | --- |
| 0 0 2 | 12.37 | 7.154 | 43 |
| 0 0 3 | 18.60 | 4.769 | 84 |
| 1 0 1 | 36.32 | 2.474 | 48 |
| 0 1 3 | 40.60 | 2.222 | 13 |
| 1 0 4 | 44.06 | 2.055 | 100 |
| 0 1 5 | 48.21 | 1.888 | 16 |
| 1 0 7 | 58.19 | 1.585 | 14 |
| 0 1 8 | 63.90 | 1.457 | 28 |
| 1 1 0 | 64.24 | 1.450 | 26 |
| 1 1 3 | 67.52 | 1.387 | 12 |

Structural model:
abc: 2.9000 2.9000 14.3078
angles: 90.00 90.00 120.00
Space group P-3m1 (No. 164)
One atom of each set of equivalent atoms:
1 Li 0.0000 0.0000 0.0000 x1
2 Li 0.0000 0.0000 0.5000 x1
3 Li 0.3333 0.6667 0.1639 x2
4 Ni 0.3333 0.6667 0.6670 x2
5 O 0.0000 0.0000 0.2576 x2
6 O 0.3333 0.6667 0.4095 x2
7 F 0.3333 0.6667 0.9177 x2